Entry 1:
The following is a computed X-ray powder pattern of Co2Pt2Rh15. It was derived from the GGA-PBE geometry in Alexandria, using Cu Kα, 1.54184 Å.
No peak broadening, texture or thermal motion is included.

Structural model:
abc: 8.7099 8.7099 13.4211
angles: 90.00 90.00 120.00
Space group R-3m (No. 166, hexagonal axes)
Unique sites:
Co  0.0000  0.0000  0.0850 [6 per cell]
Pt  0.0000  0.0000  0.2808 [6 per cell]
Rh  0.0000  0.3135  0.0000 [18 per cell]
Rh  0.0000  0.5000  0.5000 [9 per cell]
Rh  0.0044  0.5022  0.1544 [18 per cell]

The 12 most intense peaks (10° ≤ 2θ ≤ 80°), in order of rising 2θ:
hkl 0 1 2, 2θ = 17.7°, I = 18.8
hkl 1 2 2, 2θ = 34.2°, I = 15.7
hkl 3 0 0, 2θ = 35.7°, I = 30.7
hkl 0 0 6, 2θ = 40.3°, I = 17.8
hkl 0 3 3, 2θ = 41.2°, I = 100.0
hkl 2 2 0, 2θ = 41.5°, I = 45.6
hkl 1 1 6, 2θ = 45.6°, I = 37.7
hkl 2 2 3, 2θ = 46.4°, I = 54.3
hkl 3 3 3, 2θ = 67.9°, I = 16.4
hkl 4 1 6, 2θ = 71.1°, I = 18.0
hkl 6 0 0, 2θ = 75.6°, I = 20.7
hkl 2 2 9, 2θ = 77.6°, I = 21.5

***

Entry 2:
The following is a computed X-ray powder pattern of Pm14ErZr. It was derived from the GGA-PBE geometry in Alexandria, using Cu Kα, 1.54184 Å.
No peak broadening, texture or thermal motion is included.

Structural model:
abc: 10.1950 10.2170 10.2151
angles: 90.00 90.00 90.00
Space group Amm2 (No. 38)
Unique sites:
Pm  0.0000  0.0000  0.0000 [2 per cell]
Pm  0.0000  0.0000  0.4993 [2 per cell]
Pm  0.0000  0.2504  0.2497 [4 per cell]
Pm  0.2572  0.0000  0.2546 [4 per cell]
Pm  0.2573  0.0000  0.7447 [4 per cell]
Pm  0.2571  0.2451  0.4996 [8 per cell]
Pm  0.5000  0.2498  0.2496 [4 per cell]
Er  0.5000  0.0000  0.9994 [2 per cell]
Zr  0.5000  0.0000  0.4999 [2 per cell]

The 9 most intense peaks (10° ≤ 2θ ≤ 80°), in order of rising 2θ:
hkl 2 1 1, 2θ = 21.3°, I = 0.5
hkl 2 2 2, 2θ = 30.3°, I = 100.0
hkl 0 4 0, 2θ = 35.2°, I = 50.5
hkl 0 4 4, 2θ = 50.6°, I = 35.7
hkl 2 6 2, 2θ = 60.1°, I = 28.4
hkl 6 2 2, 2θ = 60.2°, I = 13.8
hkl 4 4 4, 2θ = 63.1°, I = 12.1
hkl 0 8 0, 2θ = 74.3°, I = 3.8
hkl 8 0 0, 2θ = 74.4°, I = 1.8

***

Entry 3:
The following is a computed X-ray powder pattern of Li2Ac2Zn3. It was derived from the GGA-PBE geometry in Alexandria, using Cu Kα, 1.54184 Å.
No peak broadening, texture or thermal motion is included.

Structural model:
abc: 4.7179 19.4074 7.6553
angles: 90.00 90.00 90.00
Space group Cmcm (No. 63)
Unique sites:
Li  0.0000  0.1916  0.0598 [8 per cell]
Ac  0.0000  0.3473  0.2500 [4 per cell]
Ac  0.0000  0.4395  0.7500 [4 per cell]
Zn  0.0000  0.0568  0.5788 [8 per cell]
Zn  0.0000  0.2729  0.7500 [4 per cell]

The 12 most intense peaks (10° ≤ 2θ ≤ 80°), in order of rising 2θ:
hkl 1 1 0, 2θ = 19.4°, I = 22.6
hkl 0 4 1, 2θ = 21.7°, I = 26.8
hkl 0 0 2, 2θ = 23.3°, I = 49.6
hkl 0 6 1, 2θ = 30.0°, I = 15.2
hkl 1 1 2, 2θ = 30.4°, I = 66.2
hkl 1 5 1, 2θ = 32.1°, I = 100.0
hkl 2 0 0, 2θ = 38.1°, I = 23.1
hkl 0 4 3, 2θ = 39.9°, I = 20.6
hkl 0 10 0, 2θ = 46.8°, I = 21.9
hkl 1 1 4, 2θ = 51.8°, I = 13.7
hkl 2 4 3, 2θ = 56.4°, I = 15.1
hkl 1 5 5, 2θ = 68.9°, I = 15.5